# 1
MgCu2Si4O12: simulated X-ray powder pattern (Cu Ka), based on a crystal structure in Alexandria, relaxed with PBE.

Atomic structure:
```
data_MgCu2Si4O12
_cell_length_a 5.309
_cell_length_b 5.779
_cell_length_c 7.241
_cell_angle_alpha 83.89
_cell_angle_beta 81.18
_cell_angle_gamma 84.91
_space_group_name_H-M_alt 'P -1'
_space_group_IT_number 2
_space_group_name_Hall '-P 1'
loop_
_atom_site_label
_atom_site_fract_x
_atom_site_fract_y
_atom_site_fract_z
Mg1 0.000 0.000 0.000
Cu1 0.488 0.180 0.812
Si1 0.230 0.410 0.197
Si2 0.295 0.791 0.619
O1 0.055 0.625 0.686
O2 0.235 0.009 0.754
O3 0.251 0.682 0.103
O4 0.265 0.221 0.038
O5 0.303 0.893 0.401
O6 0.448 0.372 0.336
```

Peak list (12 most intense, 2θ = 5–70°, sorted by position)
| Position (°2θ) | d_spacing | intensity | hkl |
| --- | --- | --- | --- |
| 12.4 | 7.124 | 23 | 0 0 1 |
| 16.9 | 5.232 | 63 | 1 0 0 |
| 25.0 | 3.562 | 27 | 0 0 2 |
| 26.5 | 3.363 | 100 | 1 -1 1 |
| 28.2 | 3.162 | 37 | 0 1 2 |
| 32.4 | 2.763 | 28 | 1 0 -2 |
| 32.6 | 2.749 | 23 | 0 2 1 |
| 34.1 | 2.632 | 27 | 1 -1 2 |
| 34.6 | 2.595 | 23 | 1 2 0 |
| 34.8 | 2.576 | 27 | 0 2 -1 |
| 36.6 | 2.454 | 42 | 2 1 1 |
| 44.7 | 2.027 | 18 | 2 2 1 |



# 2
Mg3Cu2Si4O14: simulated X-ray powder pattern (Cu Ka), based on a crystal structure in Alexandria, relaxed with PBE.

Atomic structure:
```
data_Mg3Cu2Si4O14
_cell_length_a 17.195
_cell_length_b 7.674
_cell_length_c 10.035
_cell_angle_alpha 90.00
_cell_angle_beta 125.10
_cell_angle_gamma 90.00
_space_group_name_H-M_alt 'C 1 2/c 1'
_space_group_IT_number 15
_space_group_name_Hall '-C 2yc'
loop_
_atom_site_label
_atom_site_fract_x
_atom_site_fract_y
_atom_site_fract_z
Mg1 0.000 0.101 0.250
Mg2 0.160 0.401 0.371
Cu1 0.000 0.282 0.750
Cu2 0.000 0.500 0.000
Si1 0.118 0.126 0.104
Si2 0.182 0.250 0.693
O1 0.048 0.096 0.907
O2 0.064 0.450 0.906
O3 0.072 0.238 0.182
O4 0.117 0.411 0.688
O5 0.145 0.059 0.707
O6 0.195 0.236 0.547
O7 0.215 0.212 0.134
```

Peak list (12 most intense, 2θ = 5–70°, sorted by position)
| Position (°2θ) | d_spacing | intensity | hkl |
| --- | --- | --- | --- |
| 12.6 | 7.034 | 100 | 2 0 0 |
| 13.1 | 6.737 | 35 | 1 1 0 |
| 19.3 | 4.592 | 38 | 3 1 -1 |
| 28.4 | 3.142 | 46 | 1 1 2 |
| 28.7 | 3.115 | 48 | 5 1 -2 |
| 29.4 | 3.038 | 59 | 5 1 -1 |
| 31.4 | 2.853 | 39 | 2 2 1 |
| 31.9 | 2.802 | 66 | 0 2 2 |
| 32.1 | 2.790 | 45 | 4 2 -2 |
| 38.4 | 2.346 | 31 | 6 0 0 |
| 39.0 | 2.311 | 48 | 2 2 2 |
| 44.6 | 2.032 | 31 | 3 3 -3 |



# 3
Mg6CuSnO8: simulated X-ray powder pattern (Cu Ka), based on a crystal structure in Alexandria, relaxed with PBE.

Atomic structure:
```
data_Mg6CuSnO8
_cell_length_a 4.398
_cell_length_b 4.398
_cell_length_c 8.845
_cell_angle_alpha 90.00
_cell_angle_beta 90.00
_cell_angle_gamma 90.00
_space_group_name_H-M_alt 'P 4/m m m'
_space_group_IT_number 123
_space_group_name_Hall '-P 4 2'
loop_
_atom_site_label
_atom_site_fract_x
_atom_site_fract_y
_atom_site_fract_z
Mg1 0.000 0.000 0.000
Mg2 0.000 0.000 0.500
Mg3 0.000 0.500 0.231
Cu1 0.500 0.500 0.000
Sn1 0.500 0.500 0.500
O1 0.000 0.000 0.250
O2 0.000 0.500 0.000
O3 0.000 0.500 0.500
O4 0.500 0.500 0.247
```

Peak list (12 most intense, 2θ = 5–70°, sorted by position)
| Position (°2θ) | d_spacing | intensity | hkl |
| --- | --- | --- | --- |
| 20.1 | 4.423 | 28 | 0 0 2 |
| 20.2 | 4.398 | 52 | 1 0 0 |
| 28.7 | 3.115 | 68 | 1 1 0 |
| 35.3 | 2.544 | 60 | 1 1 2 |
| 40.8 | 2.211 | 48 | 0 0 4 |
| 41.0 | 2.199 | 100 | 2 0 0 |
| 45.9 | 1.976 | 13 | 1 0 4 |
| 46.1 | 1.968 | 26 | 2 0 2 |
| 50.7 | 1.802 | 11 | 1 1 4 |
| 50.8 | 1.797 | 19 | 2 1 2 |
| 59.3 | 1.559 | 58 | 2 0 4 |
| 59.4 | 1.555 | 30 | 2 2 0 |



# 4
MgCu2Te2O8: simulated X-ray powder pattern (Cu Ka), based on a crystal structure in Alexandria, relaxed with PBE.

Atomic structure:
```
data_MgCu2Te2O8
_cell_length_a 6.306
_cell_length_b 8.721
_cell_length_c 13.294
_cell_angle_alpha 90.00
_cell_angle_beta 90.16
_cell_angle_gamma 90.00
_space_group_name_H-M_alt 'P 1 21/c 1'
_space_group_IT_number 14
_space_group_name_Hall '-P 2ybc'
loop_
_atom_site_label
_atom_site_fract_x
_atom_site_fract_y
_atom_site_fract_z
Mg1 0.118 0.155 0.454
Cu1 0.243 0.682 0.891
Cu2 0.388 0.075 0.884
Te1 0.053 0.052 0.159
Te2 0.363 0.597 0.137
O1 0.054 0.250 0.096
O2 0.078 0.052 0.299
O3 0.087 0.132 0.885
O4 0.191 0.560 0.016
O5 0.266 0.613 0.337
O6 0.312 0.519 0.607
O7 0.425 0.214 0.432
O8 0.492 0.095 0.654
```

Peak list (12 most intense, 2θ = 5–70°, sorted by position)
| Position (°2θ) | d_spacing | intensity | hkl |
| --- | --- | --- | --- |
| 18.6 | 4.767 | 32 | 1 1 1 |
| 20.4 | 4.361 | 30 | 0 2 0 |
| 21.9 | 4.050 | 49 | 1 1 2 |
| 25.7 | 3.462 | 55 | 1 2 1 |
| 26.6 | 3.349 | 73 | 1 1 -3 |
| 26.8 | 3.324 | 100 | 0 0 4 |
| 28.3 | 3.155 | 29 | 1 2 2 |
| 30.9 | 2.895 | 79 | 2 1 -1 |
| 32.1 | 2.788 | 41 | 1 2 3 |
| 36.6 | 2.454 | 32 | 1 3 -2 |
| 44.5 | 2.036 | 23 | 1 4 1 |
| 51.3 | 1.780 | 23 | 3 0 -4 |



# 5
MgCu2TeO12: simulated X-ray powder pattern (Cu Ka), based on a crystal structure in Alexandria, relaxed with PBE.

Atomic structure:
```
data_MgCu2TeO12
_cell_length_a 5.2740
_cell_length_b 5.2740
_cell_length_c 8.7243
_cell_angle_alpha 90.00
_cell_angle_beta 90.00
_cell_angle_gamma 120.00
_space_group_name_H-M_alt 'P -3 1 m'
_space_group_IT_number 162
_space_group_name_Hall '-P 3 2'
loop_
_atom_site_label
_atom_site_fract_x
_atom_site_fract_y
_atom_site_fract_z
Mg1 0.0000 0.0000 0.0000
Cu1 0.3333 0.6667 0.5000
Te1 0.0000 0.0000 0.5000
O1 0.0000 0.3192 0.3827
O2 0.0000 0.4250 0.0582
```

Peak list (12 most intense, 2θ = 5–70°, sorted by position)
| Position (°2θ) | d_spacing | intensity | hkl |
| --- | --- | --- | --- |
| 10.1 | 8.724 | 100 | 0 0 1 |
| 20.4 | 4.362 | 68 | 0 0 2 |
| 22.0 | 4.046 | 8 | 1 0 1 |
| 34.0 | 2.637 | 15 | 1 1 0 |
| 35.6 | 2.524 | 42 | 1 1 1 |
| 40.0 | 2.257 | 33 | 1 1 2 |
| 46.5 | 1.953 | 28 | 1 1 3 |
| 54.6 | 1.681 | 20 | 2 -1 4 |
| 60.8 | 1.522 | 10 | 3 0 0 |
| 61.9 | 1.500 | 10 | 3 0 1 |
| 64.0 | 1.455 | 9 | 1 1 5 |
| 64.9 | 1.437 | 10 | 3 0 2 |



# 6
Mg6TiCuO8: simulated X-ray powder pattern (Cu Ka), based on a crystal structure in Alexandria, relaxed with PBE.

Atomic structure:
```
data_Mg6TiCuO8
_cell_length_a 4.229
_cell_length_b 4.229
_cell_length_c 8.785
_cell_angle_alpha 90.00
_cell_angle_beta 90.00
_cell_angle_gamma 90.00
_space_group_name_H-M_alt 'P 4/m m m'
_space_group_IT_number 123
_space_group_name_Hall '-P 4 2'
loop_
_atom_site_label
_atom_site_fract_x
_atom_site_fract_y
_atom_site_fract_z
Mg1 0.000 0.000 0.000
Mg2 0.000 0.500 0.247
Mg3 0.500 0.500 0.000
Ti1 0.000 0.000 0.500
Cu1 0.500 0.500 0.500
O1 0.000 0.000 0.253
O2 0.000 0.500 0.000
O3 0.000 0.500 0.500
O4 0.500 0.500 0.234
```

Peak list (12 most intense, 2θ = 5–70°, sorted by position)
| Position (°2θ) | d_spacing | intensity | hkl |
| --- | --- | --- | --- |
| 10.1 | 8.785 | 38 | 0 0 1 |
| 20.2 | 4.393 | 10 | 0 0 2 |
| 29.9 | 2.990 | 7 | 1 1 0 |
| 30.5 | 2.928 | 5 | 0 0 3 |
| 31.6 | 2.831 | 13 | 1 1 1 |
| 36.3 | 2.472 | 40 | 1 1 2 |
| 41.1 | 2.196 | 56 | 0 0 4 |
| 42.8 | 2.114 | 100 | 2 0 0 |
| 43.2 | 2.092 | 5 | 1 1 3 |
| 44.0 | 2.056 | 4 | 2 0 1 |
| 60.8 | 1.523 | 60 | 2 0 4 |
| 62.1 | 1.495 | 28 | 2 2 0 |